# 1
Starting from a GGA-PBE-relaxed structure, the powder diffractogram of Rb2ZnAu5 was simulated for Cu Kα.
Intensities are scaled so that the largest is 100.

Atomic structure:
a = 10.267 Å, b = 7.234 Å, c = 6.643 Å
α = 90.00°, β = 123.44°, γ = 90.00°
Element x y z (fractional)
Rb 0.000 0.000 0.000
Rb 0.063 0.500 0.813
Rb 0.500 0.500 0.000
Rb 0.563 0.000 0.813
Zn 0.148 0.500 0.376
Zn 0.648 0.000 0.376
Au 0.195 0.190 0.592
Au 0.195 0.810 0.592
Au 0.342 0.000 0.050
Au 0.356 0.297 0.349
Au 0.356 0.703 0.349
Au 0.695 0.310 0.592
Au 0.695 0.690 0.592
Au 0.842 0.500 0.050
Au 0.856 0.203 0.349
Au 0.856 0.797 0.349

Top 12 peaks for 2θ from 10° to 80°, by angle:
2θ = 16.00°, intensity 60
2θ = 20.74°, intensity 37
2θ = 28.88°, intensity 44
2θ = 29.49°, intensity 100
2θ = 30.52°, intensity 51
2θ = 32.72°, intensity 64
2θ = 35.65°, intensity 56
2θ = 36.87°, intensity 69
2θ = 39.80°, intensity 51
2θ = 41.19°, intensity 35
2θ = 41.35°, intensity 47
2θ = 49.47°, intensity 50

=====

# 2
Starting from a GGA-PBE-relaxed structure, the powder diffractogram of RbZn3Au3 was simulated for Cu Kα.
Intensities are scaled so that the largest is 100.

Atomic structure:
a = 7.263 Å, b = 7.263 Å, c = 7.263 Å
α = 90.00°, β = 90.00°, γ = 90.00°
Element x y z (fractional)
Rb 0.000 0.000 0.000
Rb 0.500 0.500 0.500
Zn 0.000 0.250 0.500
Zn 0.000 0.750 0.500
Zn 0.250 0.500 0.000
Zn 0.500 0.000 0.250
Zn 0.500 0.000 0.750
Zn 0.750 0.500 0.000
Au 0.000 0.500 0.250
Au 0.000 0.500 0.750
Au 0.250 0.000 0.500
Au 0.500 0.250 0.000
Au 0.500 0.750 0.000
Au 0.750 0.000 0.500

Top 12 peaks for 2θ from 10° to 80°, by angle:
2θ = 17.27°, intensity 48
2θ = 24.51°, intensity 42
2θ = 27.46°, intensity 62
2θ = 30.14°, intensity 100
2θ = 43.15°, intensity 52
2θ = 45.00°, intensity 17
2θ = 46.80°, intensity 59
2θ = 50.25°, intensity 38
2θ = 56.68°, intensity 17
2θ = 58.21°, intensity 17
2θ = 71.09°, intensity 17
2θ = 73.80°, intensity 24

=====

# 3
Starting from a GGA-PBE-relaxed structure, the powder diffractogram of RbZnAu2 was simulated for Cu Kα.
Intensities are scaled so that the largest is 100.

Atomic structure:
a = 4.593 Å, b = 7.614 Å, c = 6.613 Å
α = 90.00°, β = 90.00°, γ = 90.00°
Element x y z (fractional)
Rb 0.250 0.250 0.110
Rb 0.750 0.750 0.890
Zn 0.250 0.750 0.414
Zn 0.750 0.250 0.586
Au 0.250 0.066 0.599
Au 0.250 0.434 0.599
Au 0.750 0.566 0.401
Au 0.750 0.934 0.401

Top 12 peaks for 2θ from 10° to 80°, by angle:
2θ = 13.39°, intensity 100
2θ = 22.61°, intensity 19
2θ = 27.01°, intensity 27
2θ = 29.45°, intensity 30
2θ = 33.41°, intensity 67
2θ = 39.23°, intensity 24
2θ = 40.61°, intensity 18
2θ = 41.16°, intensity 15
2θ = 41.63°, intensity 13
2θ = 42.95°, intensity 45
2θ = 49.80°, intensity 14
2θ = 51.90°, intensity 22

=====

# 4
Starting from a GGA-PBE-relaxed structure, the powder diffractogram of Rb2Zn4Au5 was simulated for Cu Kα.
Intensities are scaled so that the largest is 100.

Atomic structure:
a = 9.448 Å, b = 8.275 Å, c = 6.346 Å
α = 79.31°, β = 59.38°, γ = 41.30°
Element x y z (fractional)
Rb 0.134 0.134 0.866
Rb 0.866 0.866 0.134
Zn 0.211 0.537 0.463
Zn 0.463 0.789 0.211
Zn 0.537 0.211 0.789
Zn 0.789 0.463 0.537
Au 0.000 0.000 0.500
Au 0.250 0.250 0.250
Au 0.500 0.500 0.000
Au 0.500 0.500 0.500
Au 0.750 0.750 0.750

Top 12 peaks for 2θ from 10° to 80°, by angle:
2θ = 16.04°, intensity 78
2θ = 28.34°, intensity 55
2θ = 32.40°, intensity 49
2θ = 32.96°, intensity 100
2θ = 33.24°, intensity 55
2θ = 37.15°, intensity 75
2θ = 40.24°, intensity 54
2θ = 40.70°, intensity 97
2θ = 47.45°, intensity 35
2θ = 58.15°, intensity 39
2θ = 58.99°, intensity 37
2θ = 78.24°, intensity 33